No. 1
Diffraction record for Rb3ErF6. The powder diffractogram is simulated, not measured: it uses DFT lattice parameters and positions (GGA-PBE) and CuKα.
Intensities are scaled so that the largest is 100.

Top 12 peaks for 2θ = 10–80°, low angle first:
Position (°2θ)	intensity
15.51	32
24.97	94
25.69	100
35.61	26
37.68	20
44.43	58
45.74	35
52.81	17
57.82	16
58.18	16
71.09	16
72.71	15

Unit cell a=6.9447 b=6.9447 c=6.9447 alpha=118.21 beta=118.21 gamma=93.13
Atoms (fractional coordinates):
Rb: 0.0000 0.0000 0.0000
Rb: 0.2500 0.7500 0.5000
Rb: 0.7500 0.2500 0.5000
Er: 0.5000 0.5000 0.0000
F: 0.1989 0.5000 0.6989
F: 0.2716 0.2716 0.0000
F: 0.5000 0.1989 0.6989
F: 0.5000 0.8011 0.3011
F: 0.7284 0.7284 0.0000
F: 0.8011 0.5000 0.3011


No. 2
Diffraction record for Na3CaYP2SO12. The powder diffractogram is simulated, not measured: it uses DFT lattice parameters and positions (GGA-PBE) and CuKα.
Intensities are scaled so that the largest is 100.

Top 12 peaks for 2θ = 10–80°, low angle first:
Position (°2θ)	intensity
13.28	53
18.67	32
18.77	31
18.93	33
22.09	68
22.19	31
29.35	24
29.76	100
29.91	46
33.09	86
45.04	39
45.29	23

Unit cell a=9.3737 b=9.3737 c=9.4563 alpha=119.34 beta=119.34 gamma=60.12
Atoms (fractional coordinates):
Na: 0.0647 0.9353 0.5000
Na: 0.3090 0.8439 0.2450
Na: 0.5721 0.7103 0.9949
Na: 0.7103 0.5721 0.4949
Na: 0.8439 0.3090 0.7450
Na: 0.9353 0.0647 0.0000
Ca: 0.4550 0.9747 0.6810
Ca: 0.9747 0.4550 0.1810
Y: 0.1523 0.6507 0.7755
Y: 0.6507 0.1523 0.2755
P: 0.0479 0.2517 0.4629
P: 0.2517 0.0479 0.9629
P: 0.7605 0.8554 0.4726
P: 0.8554 0.7605 0.9726
S: 0.3670 0.5630 0.4860
S: 0.5630 0.3670 0.9860
O: 0.0072 0.2707 0.2938
O: 0.0267 0.7477 0.9685
O: 0.0780 0.1979 0.9789
O: 0.0869 0.4142 0.6174
O: 0.1979 0.0780 0.4789
O: 0.2156 0.5287 0.3366
O: 0.2493 0.8835 0.9690
O: 0.2707 0.0072 0.7938
O: 0.3451 0.5957 0.6463
O: 0.3846 0.7155 0.4921
O: 0.4128 0.5325 0.9714
O: 0.4142 0.0869 0.1174
O: 0.5287 0.2156 0.8366
O: 0.5325 0.4128 0.4714
O: 0.5949 0.8731 0.4874
O: 0.5957 0.3451 0.1463
O: 0.7024 0.7898 0.8093
O: 0.7155 0.3846 0.9921
O: 0.7477 0.0267 0.4685
O: 0.7898 0.7024 0.3093
O: 0.8199 0.9240 0.1329
O: 0.8731 0.5949 0.9874
O: 0.8835 0.2493 0.4690
O: 0.9240 0.8199 0.6329


No. 3
Diffraction record for AsP3Pb2O16. The powder diffractogram is simulated, not measured: it uses DFT lattice parameters and positions (GGA-PBE) and CuKα.
Intensities are scaled so that the largest is 100.

Top 12 peaks for 2θ = 10–80°, low angle first:
Position (°2θ)	intensity
13.34	100
19.20	79
20.33	24
21.52	23
21.95	64
22.91	27
23.16	85
26.03	53
26.67	24
32.27	18
32.90	23
34.87	41

Unit cell a=5.5855 b=7.7192 c=8.4502 alpha=65.68 beta=82.19 gamma=79.68
Atoms (fractional coordinates):
As: 0.0000 0.0000 0.0000
P: 0.2608 0.2010 0.3899
P: 0.4113 0.6182 0.4868
P: 0.8413 0.5834 0.9047
Pb: 0.4277 0.3007 0.9266
Pb: 0.8220 0.9050 0.4674
O: 0.0311 0.1106 0.4897
O: 0.0837 0.7638 0.9948
O: 0.0876 0.4884 0.8609
O: 0.1564 0.7047 0.5270
O: 0.1903 0.4019 0.4217
O: 0.2613 0.0886 0.8881
O: 0.2790 0.2451 0.1968
O: 0.3970 0.5190 0.3496
O: 0.4961 0.0996 0.4842
O: 0.5294 0.4676 0.6510
O: 0.5871 0.7647 0.3767
O: 0.6586 0.4423 0.0087
O: 0.7327 0.7534 0.7466
O: 0.7434 0.1038 0.8907
O: 0.8664 0.6616 0.0553
O: 0.9888 0.9936 0.2036


No. 4
Diffraction record for ReNO4. The powder diffractogram is simulated, not measured: it uses DFT lattice parameters and positions (GGA-PBE) and CuKα.
Intensities are scaled so that the largest is 100.

Top 12 peaks for 2θ = 10–80°, low angle first:
Position (°2θ)	intensity
19.45	100
21.47	51
24.74	56
28.70	96
32.99	22
42.41	32
42.95	22
43.98	28
45.80	18
51.11	16
59.25	19
62.93	19

Unit cell a=8.9306 b=8.9306 c=8.9306 alpha=149.18 beta=149.18 gamma=44.15
Atoms (fractional coordinates):
Re: 0.3750 0.1250 0.2500
Re: 0.6250 0.8750 0.7500
N: 0.1250 0.3750 0.7500
N: 0.8750 0.6250 0.2500
O: 0.1102 0.8365 0.8165
O: 0.2063 0.3898 0.2263
O: 0.3365 0.0200 0.7263
O: 0.4800 0.7063 0.3165
O: 0.5200 0.2937 0.6835
O: 0.6635 0.9800 0.2737
O: 0.7937 0.6102 0.7737
O: 0.8898 0.1635 0.1835


No. 5
Diffraction record for BaNb2O6. The powder diffractogram is simulated, not measured: it uses DFT lattice parameters and positions (GGA-PBE) and CuKα.
Intensities are scaled so that the largest is 100.

Top 12 peaks for 2θ = 10–80°, low angle first:
Position (°2θ)	intensity
27.80	61
27.90	49
29.02	100
40.49	10
40.67	15
40.74	16
45.22	17
50.61	13
50.80	24
51.50	12
54.72	21
67.62	10

Unit cell a=4.0104 b=6.1409 c=10.6762 alpha=90.00 beta=90.34 gamma=90.00
Atoms (fractional coordinates):
Ba: 0.0000 0.0000 0.0000
Ba: 0.0000 0.5000 0.5000
Nb: 0.4670 0.0449 0.3498
Nb: 0.4670 0.4551 0.8498
Nb: 0.5330 0.5449 0.1502
Nb: 0.5330 0.9551 0.6502
O: 0.0021 0.5852 0.1503
O: 0.0021 0.9148 0.6503
O: 0.4965 0.6992 0.9628
O: 0.4965 0.8008 0.4628
O: 0.4978 0.6169 0.6972
O: 0.4978 0.8831 0.1972
O: 0.5022 0.1169 0.8028
O: 0.5022 0.3831 0.3028
O: 0.5035 0.1992 0.5372
O: 0.5035 0.3008 0.0372
O: 0.9979 0.0852 0.3497
O: 0.9979 0.4148 0.8497


No. 6
Diffraction record for Nd2IrRh. The powder diffractogram is simulated, not measured: it uses DFT lattice parameters and positions (GGA-PBE) and CuKα.
Intensities are scaled so that the largest is 100.

Top 8 peaks for 2θ = 10–80°, low angle first:
Position (°2θ)	intensity
21.70	5
35.80	100
42.26	3
51.53	18
56.55	1
64.34	36
68.76	1
75.87	11

Unit cell a=5.0159 b=5.0159 c=5.0159 alpha=60.00 beta=60.00 gamma=60.00
Atoms (fractional coordinates):
Nd: 0.2500 0.2500 0.2500
Nd: 0.7500 0.7500 0.7500
Ir: 0.0000 0.0000 0.0000
Rh: 0.5000 0.5000 0.5000